Starting from a DFT-relaxed cell (PBE, Alexandria), the X-ray diffraction stick pattern of Tm5Al4Hg was computed for Cu Kα, 1.54184 Å.
Neutral-atom scattering factors, no anomalous dispersion.

Principal peaks in the range 2θ = 15–90°, most intense first:
two_theta, d [Å], I_rel
35.3, 2.545, 100
36.0, 2.494, 49
64.3, 1.450, 35
25.2, 3.527, 26
51.8, 1.764, 17
62.8, 1.480, 17
24.2, 3.677, 13
43.9, 2.064, 11
74.6, 1.273, 10
49.6, 1.839, 9

Unit cell a=3.527 b=3.527 c=18.385 alpha=90.00 beta=90.00 gamma=90.00
Fractional positions:
1 Tm 0.000 0.000 0.000
2 Tm 0.000 0.000 0.194
3 Tm 0.000 0.000 0.391
4 Tm 0.000 0.000 0.609
5 Tm 0.000 0.000 0.806
6 Al 0.500 0.500 0.097
7 Al 0.500 0.500 0.293
8 Al 0.500 0.500 0.707
9 Al 0.500 0.500 0.903
10 Hg 0.500 0.500 0.500

Starting from a DFT-relaxed cell (PBE, Alexandria), the X-ray diffraction stick pattern of MnNb6Os was computed for Cu Kα, 1.54184 Å.
Neutral-atom scattering factors, no anomalous dispersion.

Principal peaks in the range 2θ = 15–90°, most intense first:
two_theta, d [Å], I_rel
39.3, 2.290, 100
39.6, 2.275, 49
71.7, 1.316, 33
57.3, 1.608, 16
71.2, 1.325, 16
20.7, 4.296, 13
84.6, 1.145, 10
56.4, 1.630, 8
28.4, 3.143, 6
85.3, 1.137, 5

Unit cell a=7.271 b=7.271 c=7.271 alpha=143.54 beta=143.54 gamma=52.52
Fractional positions:
1 Mn 0.000 0.000 0.000
2 Nb 0.120 0.620 0.500
3 Nb 0.249 0.249 0.000
4 Nb 0.380 0.880 0.500
5 Nb 0.620 0.120 0.500
6 Nb 0.751 0.751 0.000
7 Nb 0.880 0.380 0.500
8 Os 0.500 0.500 0.000

Starting from a DFT-relaxed cell (PBE, Alexandria), the X-ray diffraction stick pattern of SrC2O was computed for Cu Kα, 1.54184 Å.
Neutral-atom scattering factors, no anomalous dispersion.

Principal peaks in the range 2θ = 15–90°, most intense first:
two_theta, d [Å], I_rel
26.3, 3.384, 100
42.2, 2.144, 72
30.8, 2.907, 60
46.4, 1.956, 54
33.6, 2.671, 47
54.2, 1.693, 44
29.3, 3.051, 27
62.0, 1.497, 22
64.5, 1.444, 19
47.3, 1.920, 18

Unit cell a=13.708 b=13.708 c=13.708 alpha=167.14 beta=167.14 gamma=18.23
Fractional positions:
1 Sr 0.375 0.625 0.750
2 Sr 0.625 0.375 0.250
3 C 0.000 0.000 0.000
4 C 0.000 0.000 0.500
5 C 0.000 0.500 0.000
6 C 0.500 0.000 0.500
7 O 0.125 0.875 0.250
8 O 0.875 0.125 0.750

Starting from a DFT-relaxed cell (PBE, Alexandria), the X-ray diffraction stick pattern of Pm2Sn2Ge3 was computed for Cu Kα, 1.54184 Å.
Neutral-atom scattering factors, no anomalous dispersion.

Principal peaks in the range 2θ = 15–90°, most intense first:
two_theta, d [Å], I_rel
28.3, 3.151, 100
31.7, 2.818, 73
34.9, 2.573, 66
37.8, 2.382, 65
40.5, 2.228, 44
70.0, 1.344, 43
52.3, 1.748, 36
58.6, 1.576, 27
50.1, 1.819, 20
47.9, 1.900, 20

Unit cell a=7.718 b=7.718 c=7.718 alpha=109.47 beta=109.47 gamma=109.47
Fractional positions:
1 Pm 0.000 0.029 0.500
2 Pm 0.029 0.500 0.000
3 Pm 0.471 0.471 0.471
4 Pm 0.500 0.000 0.029
5 Sn 0.000 0.626 0.500
6 Sn 0.500 0.000 0.626
7 Sn 0.626 0.500 0.000
8 Sn 0.874 0.874 0.874
9 Ge 0.241 0.991 0.250
10 Ge 0.250 0.241 0.991
11 Ge 0.259 0.509 0.750
12 Ge 0.509 0.750 0.259
13 Ge 0.750 0.259 0.509
14 Ge 0.991 0.250 0.241

Starting from a DFT-relaxed cell (PBE, Alexandria), the X-ray diffraction stick pattern of K17Cd11In was computed for Cu Kα, 1.54184 Å.
Neutral-atom scattering factors, no anomalous dispersion.

Principal peaks in the range 2θ = 15–90°, most intense first:
two_theta, d [Å], I_rel
31.3, 2.858, 100
28.3, 3.149, 83
16.2, 5.467, 82
28.2, 3.161, 52
28.5, 3.130, 52
31.8, 2.818, 37
16.4, 5.402, 26
40.5, 2.225, 25
39.2, 2.299, 21
50.3, 1.815, 17

Unit cell a=11.611 b=11.611 c=11.439 alpha=109.20 beta=109.20 gamma=109.80
Fractional positions:
1 K 0.000 0.000 0.000
2 K 0.001 0.001 0.666
3 K 0.001 0.587 0.969
4 K 0.002 0.330 0.667
5 K 0.003 0.307 0.248
6 K 0.286 0.702 0.366
7 K 0.302 0.586 0.667
8 K 0.307 0.003 0.248
9 K 0.330 0.002 0.667
10 K 0.416 0.718 0.081
11 K 0.417 0.417 0.383
12 K 0.586 0.302 0.667
13 K 0.587 0.001 0.969
14 K 0.673 0.673 0.334
15 K 0.691 0.691 0.941
16 K 0.702 0.286 0.366
17 K 0.718 0.416 0.081
18 Cd 0.002 0.663 0.496
19 Cd 0.003 0.833 0.323
20 Cd 0.170 0.830 0.836
21 Cd 0.172 0.342 0.006
22 Cd 0.178 0.178 0.505
23 Cd 0.342 0.172 0.006
24 Cd 0.660 0.828 0.665
25 Cd 0.663 0.002 0.496
26 Cd 0.828 0.660 0.665
27 Cd 0.830 0.170 0.836
28 Cd 0.833 0.003 0.323
29 In 0.349 0.349 0.841

Starting from a DFT-relaxed cell (PBE, Alexandria), the X-ray diffraction stick pattern of Er8SiSe3S4 was computed for Cu Kα, 1.54184 Å.
Neutral-atom scattering factors, no anomalous dispersion.

Principal peaks in the range 2θ = 15–90°, most intense first:
two_theta, d [Å], I_rel
31.9, 2.803, 100
45.8, 1.982, 71
27.6, 3.237, 54
75.9, 1.254, 30
54.3, 1.691, 24
56.9, 1.619, 24
84.7, 1.144, 23
66.7, 1.402, 11
73.6, 1.286, 9
34.9, 2.573, 5

Unit cell a=7.930 b=7.930 c=7.930 alpha=59.98 beta=59.98 gamma=59.98
Fractional positions:
1 Er 0.233 0.753 0.753
2 Er 0.242 0.242 0.242
3 Er 0.247 0.247 0.767
4 Er 0.247 0.767 0.247
5 Er 0.753 0.233 0.753
6 Er 0.753 0.753 0.233
7 Er 0.758 0.758 0.758
8 Er 0.767 0.247 0.247
9 Si 0.000 0.000 0.000
10 Se 0.000 0.500 0.500
11 Se 0.500 0.000 0.500
12 Se 0.500 0.500 0.000
13 S 0.000 0.000 0.500
14 S 0.000 0.500 0.000
15 S 0.500 0.000 0.000
16 S 0.500 0.500 0.500

Starting from a DFT-relaxed cell (PBE, Alexandria), the X-ray diffraction stick pattern of LiMgSi2 was computed for Cu Kα, 1.54184 Å.
Neutral-atom scattering factors, no anomalous dispersion.

Principal peaks in the range 2θ = 15–90°, most intense first:
two_theta, d [Å], I_rel
39.3, 2.293, 100
44.6, 2.032, 18
46.0, 1.972, 15
46.4, 1.956, 15
27.2, 3.279, 14
21.9, 4.064, 13
78.6, 1.218, 13
80.6, 1.192, 11
81.2, 1.184, 11
66.0, 1.415, 10

Unit cell a=2.780 b=4.064 c=5.550 alpha=90.00 beta=90.48 gamma=90.00
Fractional positions:
1 Li 0.000 0.000 0.000
2 Mg 0.000 0.000 0.500
3 Si 0.499 0.500 0.770
4 Si 0.501 0.500 0.230

Starting from a DFT-relaxed cell (PBE, Alexandria), the X-ray diffraction stick pattern of DySc3Au2 was computed for Cu Kα, 1.54184 Å.
Neutral-atom scattering factors, no anomalous dispersion.

Principal peaks in the range 2θ = 15–90°, most intense first:
two_theta, d [Å], I_rel
34.2, 2.625, 100
25.2, 3.527, 82
24.7, 3.600, 59
37.1, 2.426, 59
46.0, 1.974, 53
38.1, 2.360, 48
31.3, 2.862, 26
45.3, 2.001, 26
45.6, 1.988, 25
72.4, 1.306, 22

Unit cell a=4.719 b=8.483 c=6.808 alpha=90.00 beta=90.00 gamma=90.00
Fractional positions:
1 Dy 0.000 0.069 0.000
2 Dy 0.000 0.931 0.500
3 Sc 0.000 0.332 0.634
4 Sc 0.000 0.668 0.134
5 Sc 0.500 0.180 0.333
6 Sc 0.500 0.434 0.965
7 Sc 0.500 0.566 0.465
8 Sc 0.500 0.820 0.833
9 Au 0.000 0.355 0.234
10 Au 0.000 0.645 0.734
11 Au 0.500 0.154 0.735
12 Au 0.500 0.846 0.235